NaIn2F2: simulated X-ray powder pattern (a wavelength of 1.5418 Å), based on a crystal structure in Alexandria, relaxed with GGA-PBE.
Kinematic intensities with the Lorentz-polarization factor, no thermal factor.

Structure:
a b c (Å): 6.313 6.313 4.923
angles (deg): 90.00 90.00 90.00
Space group P4/mbm (No. 127)
Symmetry-distinct sites (fractional):
1 Na 0.000 0.000 0.000 (multiplicity 2)
2 In 0.181 0.319 0.500 (multiplicity 4)
3 F 0.202 0.298 0.000 (multiplicity 4)

Principal peaks in the range 2θ = 10–90°, sorted by position:
2θ/deg, intensity
18.0, 82
28.3, 51
31.7, 100
33.7, 51
36.5, 45
36.7, 79
49.1, 56
60.5, 25
63.6, 25
72.7, 28

***

AcNd2Ge2Pd7: simulated X-ray powder pattern (a wavelength of 1.5418 Å), based on a crystal structure in Alexandria, relaxed with GGA-PBE.
Kinematic intensities with the Lorentz-polarization factor, no thermal factor.

Structure:
a b c (Å): 6.020 5.920 14.060
angles (deg): 90.00 98.90 90.00
Space group C2/m (No. 12)
Symmetry-distinct sites (fractional):
1 Ac 0.000 0.000 0.000 (multiplicity 2)
2 Nd 0.118 0.000 0.354 (multiplicity 4)
3 Ge 0.094 0.500 0.258 (multiplicity 4)
4 Pd 0.000 0.500 0.000 (multiplicity 2)
5 Pd 0.146 0.500 0.437 (multiplicity 4)
6 Pd 0.191 0.251 0.837 (multiplicity 8)

Principal peaks in the range 2θ = 10–90°, sorted by position:
2θ/deg, intensity
30.2, 45
32.9, 28
33.2, 47
34.6, 68
36.0, 100
36.6, 29
40.9, 31
42.5, 38
42.9, 98
43.1, 29

***

Mg14VCo: simulated X-ray powder pattern (a wavelength of 1.5418 Å), based on a crystal structure in Alexandria, relaxed with GGA-PBE.
Kinematic intensities with the Lorentz-polarization factor, no thermal factor.

Structure:
a b c (Å): 6.2397 6.2397 9.9417
angles (deg): 90.00 90.00 120.00
Space group P-6m2 (No. 187)
Symmetry-distinct sites (fractional):
1 Mg 0.0000 0.0000 0.2466 (multiplicity 2)
2 Mg 0.0142 0.5071 0.2590 (multiplicity 6)
3 Mg 0.3296 0.1648 0.5000 (multiplicity 3)
4 Mg 0.3383 0.1691 0.0000 (multiplicity 3)
5 V 0.3333 0.6667 0.0000 (multiplicity 1)
6 Co 0.3333 0.6667 0.5000 (multiplicity 1)

Principal peaks in the range 2θ = 10–90°, sorted by position:
2θ/deg, intensity
16.4, 12
24.3, 6
33.2, 26
36.1, 25
37.9, 100
49.9, 15
59.2, 17
66.2, 17
71.4, 18
72.5, 13

***

PrNdMoN4: simulated X-ray powder pattern (a wavelength of 1.5418 Å), based on a crystal structure in Alexandria, relaxed with GGA-PBE.
Kinematic intensities with the Lorentz-polarization factor, no thermal factor.

Structure:
a b c (Å): 3.944 3.944 12.778
angles (deg): 90.00 90.00 90.00
Space group I4mm (No. 107)
Symmetry-distinct sites (fractional):
1 Pr 0.000 0.000 0.000 (multiplicity 2)
2 Nd 0.000 0.000 0.709 (multiplicity 2)
3 Mo 0.000 0.000 0.348 (multiplicity 2)
4 N 0.000 0.000 0.193 (multiplicity 2)
5 N 0.000 0.000 0.528 (multiplicity 2)
6 N 0.000 0.500 0.358 (multiplicity 4)

Principal peaks in the range 2θ = 10–90°, sorted by position:
2θ/deg, intensity
30.9, 100
32.1, 60
42.4, 11
43.1, 13
46.0, 28
54.2, 16
56.5, 37
64.4, 12
67.1, 9
76.4, 10

***

Cs2AlCrI6: simulated X-ray powder pattern (a wavelength of 1.5418 Å), based on a crystal structure in Alexandria, relaxed with GGA-PBE.
Kinematic intensities with the Lorentz-polarization factor, no thermal factor.

Structure:
a b c (Å): 11.669 11.669 11.669
angles (deg): 90.00 90.00 90.00
Space group Fm-3m (No. 225)
Symmetry-distinct sites (fractional):
1 Cs 0.250 0.250 0.250 (multiplicity 8)
2 Al 0.000 0.000 0.000 (multiplicity 4)
3 Cr 0.000 0.000 0.500 (multiplicity 4)
4 I 0.000 0.000 0.247 (multiplicity 24)

Principal peaks in the range 2θ = 10–90°, sorted by position:
2θ/deg, intensity
26.5, 100
30.6, 71
43.9, 52
52.0, 46
54.5, 18
63.8, 8
70.3, 19
72.4, 23
80.7, 17
86.7, 15

***

Rb3LaCl6: simulated X-ray powder pattern (a wavelength of 1.5418 Å), based on a crystal structure in Alexandria, relaxed with GGA-PBE.
Kinematic intensities with the Lorentz-polarization factor, no thermal factor.

Structure:
a b c (Å): 11.803 11.803 11.803
angles (deg): 90.00 90.00 90.00
Space group Fm-3m (No. 225)
Symmetry-distinct sites (fractional):
1 Rb 0.000 0.000 0.000 (multiplicity 4)
2 Rb 0.250 0.250 0.250 (multiplicity 8)
3 La 0.000 0.000 0.500 (multiplicity 4)
4 Cl 0.000 0.000 0.265 (multiplicity 24)

Principal peaks in the range 2θ = 10–90°, sorted by position:
2θ/deg, intensity
15.0, 18
21.3, 100
30.3, 74
37.3, 47
43.4, 51
48.8, 24
53.8, 17
58.5, 27
71.5, 21
79.6, 15

***

MgUB2O7: simulated X-ray powder pattern (a wavelength of 1.5418 Å), based on a crystal structure in Alexandria, relaxed with GGA-PBE.
Kinematic intensities with the Lorentz-polarization factor, no thermal factor.

Structure:
a b c (Å): 7.390 9.881 8.010
angles (deg): 90.00 90.00 90.00
Space group Pbcm (No. 57)
Symmetry-distinct sites (fractional):
1 Mg 0.234 0.048 0.250 (multiplicity 4)
2 U 0.224 0.052 0.750 (multiplicity 4)
3 B 0.129 0.741 0.250 (multiplicity 4)
4 B 0.469 0.712 0.750 (multiplicity 4)
5 O 0.021 0.630 0.250 (multiplicity 4)
6 O 0.073 0.629 0.750 (multiplicity 4)
7 O 0.227 0.049 0.520 (multiplicity 8)
8 O 0.317 0.703 0.250 (multiplicity 4)
9 O 0.360 0.234 0.250 (multiplicity 4)
10 O 0.458 0.573 0.750 (multiplicity 4)

Principal peaks in the range 2θ = 10–90°, sorted by position:
2θ/deg, intensity
18.0, 28
18.6, 100
21.1, 19
22.2, 53
24.1, 23
29.7, 25
30.2, 19
36.9, 16
37.4, 16
39.3, 16